Diffraction record for K2CoSbO4. The powder diffractogram is computed, not measured: it uses a cell relaxed with PBE+U and Cu Ka.
Neutral-atom scattering factors, no anomalous dispersion.

```
K2CoSbO4
1.0
3.989 -3.818 0.000
3.989 3.818 0.000
-3.735 0.000 4.533
K Co Sb O
2 1 1 4
Cartesian
0.000 0.000 0.000 K
2.122 -1.929 2.267 K
2.122 2.132 2.267 Co
3.989 0.062 0.000 Sb
2.509 1.290 0.481 O
-0.323 -0.515 2.645 O
1.734 1.290 4.053 O
4.566 -0.515 1.888 O
```

Main lines, sorted by position (2θ = 10–90°):
| 2θ/deg | I/Imax |
| --- | --- |
| 18.51 | 33.0 |
| 19.16 | 49.7 |
| 29.00 | 36.4 |
| 30.64 | 100.0 |
| 32.48 | 87.5 |
| 39.77 | 24.3 |
| 45.55 | 14.0 |
| 51.16 | 27.1 |
| 53.32 | 17.1 |
| 54.85 | 14.5 |
| 56.74 | 13.9 |
| 57.73 | 17.9 |